1.
Calculated powder diffractogram of AcClO for Cu Ka, from DFT lattice parameters and positions (GGA-PBE).
Neutral-atom scattering factors, no anomalous dispersion.

The 6 most intense peaks (2θ from 15° to 90°), in order of falling intensity:
| 2θ/deg | Rel. int. |
| --- | --- |
| 24.24 | 100.0 |
| 32.58 | 74.7 |
| 29.57 | 61.5 |
| 54.40 | 34.7 |
| 49.35 | 32.3 |
| 42.30 | 30.2 |

Cell and atoms:
Cell lengths 4.2728, 4.2728, 7.1779 Å; angles 90.00, 90.00, 90.00 degrees
Fractional positions:
Ac  0.2500  0.2500  0.1767
Ac  0.7500  0.7500  0.8233
Cl  0.2500  0.2500  0.6316
Cl  0.7500  0.7500  0.3684
O  0.2500  0.7500  0.0000
O  0.7500  0.2500  0.0000

***

2.
Calculated powder diffractogram of Ba3V2N4 for Cu Ka, from DFT lattice parameters and positions (GGA-PBE).
Neutral-atom scattering factors, no anomalous dispersion.

The 6 most intense peaks (2θ from 15° to 90°), in order of falling intensity:
| 2θ/deg | Rel. int. |
| --- | --- |
| 29.67 | 100.0 |
| 27.17 | 86.0 |
| 34.37 | 76.6 |
| 34.73 | 55.1 |
| 30.92 | 44.6 |
| 29.99 | 40.5 |

Cell and atoms:
Cell lengths 6.2203, 10.3844, 10.3239 Å; angles 90.00, 90.00, 90.00 degrees
Fractional positions:
Ba  0.1209  0.1576  0.0811
Ba  0.1209  0.3424  0.4189
Ba  0.2500  0.0000  0.4035
Ba  0.2500  0.5000  0.0965
Ba  0.3791  0.6576  0.4189
Ba  0.3791  0.8424  0.0811
Ba  0.6209  0.1576  0.9189
Ba  0.6209  0.3424  0.5811
Ba  0.7500  0.0000  0.5965
Ba  0.7500  0.5000  0.9035
Ba  0.8791  0.6576  0.5811
Ba  0.8791  0.8424  0.9189
V  0.1580  0.2500  0.7500
V  0.2500  0.0000  0.7359
V  0.2500  0.5000  0.7641
V  0.3420  0.7500  0.7500
V  0.6580  0.2500  0.2500
V  0.7500  0.0000  0.2641
V  0.7500  0.5000  0.2359
V  0.8420  0.7500  0.2500
N  0.0347  0.0890  0.8273
N  0.0347  0.4110  0.6727
N  0.1570  0.6461  0.8584
N  0.1570  0.8539  0.6416
N  0.3430  0.1461  0.6416
N  0.3430  0.3539  0.8584
N  0.4653  0.5890  0.6727
N  0.4653  0.9110  0.8273
N  0.5347  0.0890  0.1727
N  0.5347  0.4110  0.3273
N  0.6570  0.6461  0.1416
N  0.6570  0.8539  0.3584
N  0.8430  0.1461  0.3584
N  0.8430  0.3539  0.1416
N  0.9653  0.5890  0.3273
N  0.9653  0.9110  0.1727

***

3.
Calculated powder diffractogram of Ba3In2O6 for Cu Ka, from DFT lattice parameters and positions (GGA-PBE).
Neutral-atom scattering factors, no anomalous dispersion.

The 6 most intense peaks (2θ from 15° to 90°), in order of falling intensity:
| 2θ/deg | Rel. int. |
| --- | --- |
| 29.20 | 100.0 |
| 29.67 | 54.6 |
| 52.36 | 39.0 |
| 42.46 | 30.1 |
| 51.47 | 15.4 |
| 60.54 | 11.7 |

Cell and atoms:
Cell lengths 11.3962, 11.3962, 11.3962 Å; angles 158.47, 158.47, 30.64 degrees
Fractional positions:
Ba  0.0000  0.0000  0.0000
Ba  0.1830  0.1830  0.0000
Ba  0.8170  0.8170  0.0000
In  0.3972  0.3972  0.0000
In  0.6028  0.6028  0.0000
O  0.0839  0.5839  0.5000
O  0.3014  0.3014  0.0000
O  0.4161  0.9161  0.5000
O  0.5839  0.0839  0.5000
O  0.6986  0.6986  0.0000
O  0.9161  0.4161  0.5000

***

4.
Calculated powder diffractogram of Ba2LaCl7 for Cu Ka, from DFT lattice parameters and positions (GGA-PBE).
Neutral-atom scattering factors, no anomalous dispersion.

The 6 most intense peaks (2θ from 15° to 90°), in order of falling intensity:
| 2θ/deg | Rel. int. |
| --- | --- |
| 19.26 | 100.0 |
| 29.95 | 51.2 |
| 20.15 | 49.4 |
| 22.32 | 40.0 |
| 36.90 | 25.1 |
| 35.38 | 23.6 |

Cell and atoms:
Cell lengths 7.5733, 14.0594, 12.2382 Å; angles 90.00, 92.87, 90.00 degrees
Fractional positions:
Ba  0.1817  0.0557  0.2012
Ba  0.1817  0.4443  0.7012
Ba  0.2916  0.1332  0.7160
Ba  0.2916  0.3668  0.2160
Ba  0.7084  0.6332  0.7840
Ba  0.7084  0.8668  0.2840
Ba  0.8183  0.5557  0.2988
Ba  0.8183  0.9443  0.7988
La  0.2968  0.7336  0.0261
La  0.2968  0.7664  0.5261
La  0.7032  0.2336  0.4739
La  0.7032  0.2664  0.9739
Cl  0.0147  0.1181  0.9041
Cl  0.0147  0.3819  0.4041
Cl  0.0311  0.7441  0.3556
Cl  0.0311  0.7559  0.8556
Cl  0.1475  0.5732  0.1431
Cl  0.1475  0.9268  0.6431
Cl  0.3521  0.1865  0.4008
Cl  0.3521  0.3135  0.9008
Cl  0.3566  0.5744  0.8894
Cl  0.3566  0.9256  0.3894
Cl  0.4368  0.5880  0.6005
Cl  0.4368  0.9120  0.1005
Cl  0.4981  0.6893  0.3557
Cl  0.4981  0.8107  0.8557
Cl  0.5019  0.1893  0.1443
Cl  0.5019  0.3107  0.6443
Cl  0.5632  0.0880  0.8995
Cl  0.5632  0.4120  0.3995
Cl  0.6434  0.0744  0.6106
Cl  0.6434  0.4256  0.1106
Cl  0.6479  0.6865  0.0992
Cl  0.6479  0.8135  0.5992
Cl  0.8525  0.0732  0.3569
Cl  0.8525  0.4268  0.8569
Cl  0.9689  0.2441  0.1444
Cl  0.9689  0.2559  0.6444
Cl  0.9853  0.6181  0.5959
Cl  0.9853  0.8819  0.0959

***

5.
Calculated powder diffractogram of Y2Si2O7 for Cu Ka, from DFT lattice parameters and positions (GGA-PBE).
Neutral-atom scattering factors, no anomalous dispersion.

The 6 most intense peaks (2θ from 15° to 90°), in order of falling intensity:
| 2θ/deg | Rel. int. |
| --- | --- |
| 29.43 | 100.0 |
| 30.31 | 52.2 |
| 30.87 | 30.0 |
| 26.65 | 23.8 |
| 49.98 | 23.2 |
| 31.68 | 21.4 |

Cell and atoms:
Cell lengths 6.6717, 6.7132, 12.1872 Å; angles 94.49, 91.22, 91.88 degrees
Fractional positions:
Y  0.0516  0.3297  0.1151
Y  0.1161  0.0922  0.3569
Y  0.3293  0.8277  0.1082
Y  0.3697  0.2170  0.6335
Y  0.6303  0.7830  0.3665
Y  0.6707  0.1723  0.8918
Y  0.8839  0.9078  0.6431
Y  0.9484  0.6703  0.8849
Si  0.1443  0.6279  0.3796
Si  0.1545  0.1471  0.8846
Si  0.3781  0.7252  0.5942
Si  0.4864  0.6646  0.8242
Si  0.5136  0.3354  0.1758
Si  0.6219  0.2748  0.4058
Si  0.8455  0.8529  0.1154
Si  0.8557  0.3721  0.6204
O  0.0012  0.6693  0.0813
O  0.0017  0.9827  0.8157
O  0.0381  0.2277  0.5778
O  0.0758  0.4183  0.3112
O  0.2278  0.9036  0.6234
O  0.2346  0.0852  0.0039
O  0.2860  0.5765  0.4884
O  0.2875  0.7837  0.3130
O  0.2986  0.7032  0.9049
O  0.3461  0.2103  0.8138
O  0.3564  0.4899  0.1273
O  0.3844  0.1380  0.2106
O  0.4009  0.5681  0.6935
O  0.4130  0.1738  0.4469
O  0.5870  0.8262  0.5531
O  0.5991  0.4319  0.3065
O  0.6156  0.8620  0.7894
O  0.6436  0.5101  0.8727
O  0.6539  0.7897  0.1862
O  0.7014  0.2968  0.0951
O  0.7125  0.2163  0.6870
O  0.7140  0.4235  0.5116
O  0.7654  0.9148  0.9961
O  0.7722  0.0964  0.3766
O  0.9242  0.5817  0.6888
O  0.9619  0.7723  0.4222
O  0.9983  0.0173  0.1843
O  0.9988  0.3307  0.9187

***

6.
Calculated powder diffractogram of Mg2MoN3 for Cu Ka, from DFT lattice parameters and positions (GGA-PBE).
Neutral-atom scattering factors, no anomalous dispersion.

The 6 most intense peaks (2θ from 15° to 90°), in order of falling intensity:
| 2θ/deg | Rel. int. |
| --- | --- |
| 16.35 | 100.0 |
| 26.50 | 91.7 |
| 28.65 | 88.9 |
| 35.51 | 84.0 |
| 41.76 | 56.8 |
| 51.25 | 56.7 |

Cell and atoms:
Cell lengths 6.2316, 6.2316, 4.3259 Å; angles 90.00, 90.00, 59.11 degrees
Fractional positions:
Mg  0.0082  0.3295  0.2500
Mg  0.3295  0.0082  0.7500
Mg  0.6705  0.9918  0.2500
Mg  0.9918  0.6705  0.7500
Mo  0.3402  0.6598  0.2500
Mo  0.6598  0.3402  0.7500
N  0.0318  0.6593  0.2500
N  0.3331  0.6669  0.7500
N  0.3407  0.9682  0.2500
N  0.6593  0.0318  0.7500
N  0.6669  0.3331  0.2500
N  0.9682  0.3407  0.7500

***

7.
Calculated powder diffractogram of Y2S3O12 for Cu Ka, from DFT lattice parameters and positions (GGA-PBE).
Neutral-atom scattering factors, no anomalous dispersion.

The 6 most intense peaks (2θ from 15° to 90°), in order of falling intensity:
| 2θ/deg | Rel. int. |
| --- | --- |
| 22.18 | 100.0 |
| 18.55 | 78.6 |
| 29.63 | 71.2 |
| 26.76 | 57.6 |
| 19.11 | 42.8 |
| 33.42 | 32.2 |

Cell and atoms:
Cell lengths 9.5724, 9.5724, 9.5724 Å; angles 58.04, 58.04, 58.04 degrees
Fractional positions:
Y  0.1451  0.1451  0.1451
Y  0.3549  0.3549  0.3549
Y  0.6451  0.6451  0.6451
Y  0.8549  0.8549  0.8549
S  0.0407  0.7500  0.4593
S  0.2500  0.5407  0.9593
S  0.4593  0.0407  0.7500
S  0.5407  0.9593  0.2500
S  0.7500  0.4593  0.0407
S  0.9593  0.2500  0.5407
O  0.0127  0.7739  0.6142
O  0.0674  0.9062  0.3011
O  0.0938  0.6989  0.9326
O  0.1142  0.2739  0.5127
O  0.1989  0.5938  0.4326
O  0.2261  0.3858  0.9873
O  0.2739  0.5127  0.1142
O  0.3011  0.0674  0.9062
O  0.3858  0.9873  0.2261
O  0.4062  0.5674  0.8011
O  0.4326  0.1989  0.5938
O  0.4873  0.8858  0.7261
O  0.5127  0.1142  0.2739
O  0.5674  0.8011  0.4062
O  0.5938  0.4326  0.1989
O  0.6142  0.0127  0.7739
O  0.6989  0.9326  0.0938
O  0.7261  0.4873  0.8858
O  0.7739  0.6142  0.0127
O  0.8011  0.4062  0.5674
O  0.8858  0.7261  0.4873
O  0.9062  0.3011  0.0674
O  0.9326  0.0938  0.6989
O  0.9873  0.2261  0.3858

***

8.
Calculated powder diffractogram of Ba2La2Ti2Cu2O11 for Cu Ka, from DFT lattice parameters and positions (GGA-PBE).
Neutral-atom scattering factors, no anomalous dispersion.

The 6 most intense peaks (2θ from 15° to 90°), in order of falling intensity:
| 2θ/deg | Rel. int. |
| --- | --- |
| 31.77 | 100.0 |
| 31.95 | 48.4 |
| 56.83 | 37.7 |
| 45.82 | 33.6 |
| 39.25 | 24.1 |
| 56.48 | 15.9 |

Cell and atoms:
Cell lengths 3.9610, 3.9610, 16.0240 Å; angles 90.00, 90.00, 90.00 degrees
Fractional positions:
Ba  0.0000  0.0000  0.2344
Ba  0.0000  0.0000  0.7656
La  0.0000  0.0000  0.0000
La  0.0000  0.0000  0.5000
Ti  0.5000  0.5000  0.3731
Ti  0.5000  0.5000  0.6269
Cu  0.5000  0.5000  0.1109
Cu  0.5000  0.5000  0.8891
O  0.0000  0.5000  0.0986
O  0.0000  0.5000  0.3852
O  0.0000  0.5000  0.6148
O  0.0000  0.5000  0.9014
O  0.5000  0.0000  0.0986
O  0.5000  0.0000  0.3852
O  0.5000  0.0000  0.6148
O  0.5000  0.0000  0.9014
O  0.5000  0.5000  0.2569
O  0.5000  0.5000  0.5000
O  0.5000  0.5000  0.7431